Diffraction record for Na2MgMn2O8. The X-ray powder pattern is calculated, not measured: it uses DFT lattice parameters and positions (PBE+U) and Cu Kα X-rays.
Peak positions follow from Bragg's law for the DFT cell and can differ from measured ones.

Top 12 peaks for 10° ≤ 2θ ≤ 80°, by intensity:
hkl 1 0 1, 21.6 deg, rel. 100; hkl 0 1 -1, 21.4 deg, rel. 92; hkl 1 1 1, 22.5 deg, rel. 70; hkl 1 1 -1, 23.7 deg, rel. 65; hkl 0 1 1, 20.1 deg, rel. 63; hkl 2 1 0, 33.4 deg, rel. 60; hkl 1 0 -2, 30.9 deg, rel. 40; hkl 1 -1 0, 28.3 deg, rel. 34; hkl 0 1 0, 16.5 deg, rel. 30; hkl 0 1 -2, 31.1 deg, rel. 21; hkl 1 0 2, 30.7 deg, rel. 21; hkl 1 2 0, 31.7 deg, rel. 21

Atomic structure:
abc: 5.409 5.762 7.117
angles: 85.98 88.36 68.94
Atoms (fractional coordinates):
Na 0.000 0.000 0.000
Na 0.115 0.842 0.508
Mg 0.253 0.443 0.046
Mn 0.461 0.213 0.728
Mn 0.734 0.534 0.268
O 0.310 0.154 0.556
O 0.334 0.524 0.772
O 0.368 0.110 0.943
O 0.407 0.606 0.223
O 0.785 0.108 0.716
O 0.786 0.637 0.462
O 0.881 0.653 0.091
O 0.890 0.228 0.265

=====

Diffraction record for Na2MgMn2O4. The X-ray powder pattern is calculated, not measured: it uses DFT lattice parameters and positions (PBE+U) and Cu Kα X-rays.
Peak positions follow from Bragg's law for the DFT cell and can differ from measured ones.

Top 12 peaks for 10° ≤ 2θ ≤ 80°, by intensity:
hkl 0 1 2, 38.1 deg, rel. 100; hkl 2 0 -1, 35.0 deg, rel. 90; hkl 0 0 1, 12.7 deg, rel. 66; hkl 1 0 0, 16.2 deg, rel. 51; hkl 1 0 -1, 20.4 deg, rel. 50; hkl 1 1 -1, 34.7 deg, rel. 40; hkl 1 0 -3, 42.0 deg, rel. 37; hkl 1 1 -2, 41.4 deg, rel. 34; hkl 0 2 0, 57.4 deg, rel. 27; hkl 2 1 2, 51.6 deg, rel. 25; hkl 3 1 0, 58.3 deg, rel. 24; hkl 2 0 1, 35.6 deg, rel. 23

Atomic structure:
abc: 5.464 3.211 6.958
angles: 90.00 91.39 90.00
Atoms (fractional coordinates):
Na 0.000 0.000 0.000
Na 0.487 0.500 0.804
Mg 0.169 0.500 0.494
Mn 0.534 0.500 0.200
Mn 0.772 0.000 0.529
O 0.389 0.000 0.500
O 0.445 0.000 0.034
O 0.886 0.500 0.308
O 0.918 0.500 0.707